Diffraction record for KMnSn2F8. The X-ray diffraction stick pattern is calculated, not measured: it uses the GGA+U geometry in Alexandria and Cu Kα, 1.54184 Å.
Intensities are scaled so that the largest is 100.

Cell and atoms:
Cell: 5.320 5.526 7.262 Å, 93.33 94.76 91.50°
Space group P-1 (No. 2)
One atom of each set of equivalent atoms:
K (0.000, 0.000, 0.000) (multiplicity 1)
Mn (0.000, 0.000, 0.500) (multiplicity 1)
Sn (0.481, 0.503, 0.740) (multiplicity 2)
F (0.172, 0.251, 0.728) (multiplicity 2)
F (0.176, 0.741, 0.617) (multiplicity 2)
F (0.259, 0.048, 0.346) (multiplicity 2)
F (0.367, 0.690, 0.986) (multiplicity 2)

Peak list (10 most intense, 5° ≤ 2θ ≤ 70°, by intensity)
2θ = 23.65°, d = 3.763 Å, intensity 100, hkl 1 1 0
2θ = 22.91°, d = 3.882 Å, intensity 88, hkl 1 -1 0
2θ = 28.71°, d = 3.109 Å, intensity 77, hkl 1 0 -2
2θ = 44.01°, d = 2.057 Å, intensity 48, hkl 1 -2 2
2θ = 30.39°, d = 2.941 Å, intensity 48, hkl 0 1 2
2θ = 31.12°, d = 2.874 Å, intensity 31, hkl 1 0 2
2θ = 16.73°, d = 5.299 Å, intensity 28, hkl 1 0 0
2θ = 16.07°, d = 5.514 Å, intensity 25, hkl 0 1 0
2θ = 32.47°, d = 2.757 Å, intensity 23, hkl 0 2 0
2θ = 43.64°, d = 2.074 Å, intensity 21, hkl 2 1 -2